No. 1
Computed powder diffractogram
Compound: V2NiP3O12
Radiation: Cu Ka
Structure: DFT lattice parameters and positions (GGA+U)

The 8 most intense peaks (10 to 90 degrees two-theta), most intense first:
| Position (°2θ) | I_rel | (hkl) |
| --- | --- | --- |
| 24.40 | 100 | 1 1 3 |
| 20.62 | 78 | 1 1 0 |
| 33.39 | 64 | 1 1 6 |
| 36.12 | 36 | 3 0 0 |
| 47.86 | 33 | 1 2 8 |
| 50.00 | 24 | 2 2 6 |
| 56.52 | 22 | 4 1 0 |
| 25.40 | 21 | 2 0 2 |

Crystal structure
```
data_V2NiP3O12
_chemical_formula_sum 'V12 Ni6 P18 O72'
_symmetry_space_group_name_H-M 'R -3 c'
_symmetry_Int_Tables_number 167
_symmetry_space_group_name_Hall '-R 3 2"c'
_cell_length_a 8.6151
_cell_length_b 8.6151
_cell_length_c 20.5836
_cell_angle_alpha 90.00
_cell_angle_beta 90.00
_cell_angle_gamma 120.00
loop_
_atom_site_label
_atom_site_fract_x
_atom_site_fract_y
_atom_site_fract_z
V1 0.0000 0.0000 0.1420
Ni1 0.0000 0.0000 0.0000
P1 0.0000 0.2937 0.2500
O1 0.0044 0.1969 0.3116
O2 0.0166 0.1822 0.9244
```

---

No. 2
Computed powder diffractogram
Compound: Na2FeO3
Radiation: Cu Ka
Structure: DFT lattice parameters and positions (GGA+U)

The 8 most intense peaks (10 to 90 degrees two-theta), most intense first:
| Position (°2θ) | I_rel | (hkl) |
| --- | --- | --- |
| 17.29 | 100 | 0 1 1 |
| 36.35 | 84 | 1 3 1 |
| 33.61 | 72 | 1 0 2 |
| 46.92 | 72 | 2 3 1 |
| 18.97 | 48 | 0 2 0 |
| 56.44 | 30 | 1 3 3 |
| 33.20 | 24 | 2 0 0 |
| 29.12 | 22 | 0 0 2 |

Crystal structure
```
data_Na2FeO3
_chemical_formula_sum 'Na8 Fe4 O12'
_symmetry_space_group_name_H-M 'P n m a'
_symmetry_Int_Tables_number 62
_symmetry_space_group_name_Hall '-P 2ac 2n'
_cell_length_a 5.397
_cell_length_b 9.359
_cell_length_c 6.134
_cell_angle_alpha 90.00
_cell_angle_beta 90.00
_cell_angle_gamma 90.00
loop_
_atom_site_label
_atom_site_fract_x
_atom_site_fract_y
_atom_site_fract_z
Na1 0.226 0.086 0.113
Fe1 0.224 0.750 0.163
O1 0.013 0.113 0.716
O2 0.132 0.750 0.877
```

---

No. 3
Computed powder diffractogram
Compound: NaMn3V4O12
Radiation: Cu Ka
Structure: DFT lattice parameters and positions (GGA+U)

The 8 most intense peaks (10 to 90 degrees two-theta), most intense first:
| Position (°2θ) | I_rel | (hkl) |
| --- | --- | --- |
| 33.75 | 100 | 2 2 0 |
| 34.00 | 98 | 2 0 2 |
| 48.66 | 63 | 0 4 2 |
| 60.52 | 51 | 6 -2 2 |
| 60.36 | 26 | 6 0 0 |
| 61.00 | 25 | 0 2 4 |
| 81.50 | 15 | 6 -4 4 |
| 81.08 | 15 | 2 6 2 |

Crystal structure
```
data_NaMn3V4O12
_chemical_formula_sum 'Na3 Mn9 V12 O36'
_symmetry_space_group_name_H-M 'R -3'
_symmetry_Int_Tables_number 148
_symmetry_space_group_name_Hall '-R 3'
_cell_length_a 10.6237
_cell_length_b 10.6237
_cell_length_c 6.4370
_cell_angle_alpha 90.00
_cell_angle_beta 90.00
_cell_angle_gamma 120.00
loop_
_atom_site_label
_atom_site_fract_x
_atom_site_fract_y
_atom_site_fract_z
Na1 0.0000 0.0000 0.0000
Mn1 0.0000 0.5000 0.0000
V1 0.0000 0.0000 0.5000
V2 0.0000 0.5000 0.5000
O1 0.0248 0.8564 0.6753
O2 0.0400 0.7738 0.0835
```